No. 1
Tb6Pm12Sm: computed X-ray diffraction stick pattern (Cu Kα (weighted mean of Kα1 and Kα2)), based on a structure optimized by DFT (PBE).

The 6 most intense peaks (2θ from 10° to 90°), sorted by position:
2θ/deg  Rel. int.
28.29  40.8
31.90  100.0
33.13  58.9
35.33  36.0
51.56  23.7
62.77  23.4

Structural model:
Lattice parameters (Å, degrees): 9.253 9.253 9.253 106.69 106.69 106.69
Element x y z (fractional)
Tb1 0.045 0.423 0.309
Tb2 0.309 0.045 0.423
Tb3 0.423 0.309 0.045
Tb4 0.577 0.691 0.955
Tb5 0.691 0.955 0.577
Tb6 0.955 0.577 0.691
Pm1 0.017 0.308 0.920
Pm2 0.080 0.983 0.692
Pm3 0.220 0.366 0.674
Pm4 0.308 0.920 0.017
Pm5 0.326 0.780 0.634
Pm6 0.366 0.674 0.220
Pm7 0.634 0.326 0.780
Pm8 0.674 0.220 0.366
Pm9 0.692 0.080 0.983
Pm10 0.780 0.634 0.326
Pm11 0.920 0.017 0.308
Pm12 0.983 0.692 0.080
Sm1 0.500 0.500 0.500



No. 2
Tb4PmSm2Th: computed X-ray diffraction stick pattern (Cu Kα (weighted mean of Kα1 and Kα2)), based on a structure optimized by DFT (PBE).

The 6 most intense peaks (2θ from 10° to 90°), sorted by position:
2θ/deg  Rel. int.
30.49  100.0
35.17  17.2
35.29  17.0
35.58  16.5
50.94  24.0
60.22  14.6

Structural model:
Lattice parameters (Å, degrees): 5.086 5.104 10.094 90.00 90.00 90.00
Element x y z (fractional)
Tb1 0.000 0.000 0.245
Tb2 0.000 0.000 0.755
Tb3 0.500 0.500 0.246
Tb4 0.500 0.500 0.754
Pm1 0.500 0.000 0.500
Sm1 0.000 0.500 0.500
Sm2 0.500 0.000 0.000
Th1 0.000 0.500 0.000



No. 3
TbPmSm2Th: computed X-ray diffraction stick pattern (Cu Kα (weighted mean of Kα1 and Kα2)), based on a structure optimized by DFT (PBE).

The 6 most intense peaks (2θ from 10° to 90°), sorted by position:
2θ/deg  Rel. int.
24.61  17.0
30.07  53.6
30.71  100.0
31.76  34.0
35.37  27.9
35.89  22.5

Structural model:
Lattice parameters (Å, degrees): 6.400 8.451 6.598 90.00 103.94 90.00
Element x y z (fractional)
Tb1 0.000 0.162 0.250
Tb2 0.000 0.838 0.750
Pm1 0.500 0.409 0.250
Pm2 0.500 0.591 0.750
Sm1 0.282 0.171 0.840
Sm2 0.282 0.829 0.340
Sm3 0.718 0.171 0.660
Sm4 0.718 0.829 0.160
Th1 0.000 0.500 0.000
Th2 0.000 0.500 0.500



No. 4
Tb4Pm2SmTh: computed X-ray diffraction stick pattern (Cu Kα (weighted mean of Kα1 and Kα2)), based on a structure optimized by DFT (PBE).

The 6 most intense peaks (2θ from 10° to 90°), sorted by position:
2θ/deg  Rel. int.
30.46  100.0
35.13  17.2
35.26  17.0
35.58  16.5
50.91  24.0
60.15  14.6

Structural model:
Lattice parameters (Å, degrees): 5.091 5.109 10.094 90.00 90.00 90.00
Element x y z (fractional)
Tb1 0.000 0.000 0.245
Tb2 0.000 0.000 0.755
Tb3 0.500 0.500 0.246
Tb4 0.500 0.500 0.754
Pm1 0.000 0.500 0.500
Pm2 0.500 0.000 0.000
Sm1 0.500 0.000 0.500
Th1 0.000 0.500 0.000



No. 5
TbPmSmTl: computed X-ray diffraction stick pattern (Cu Kα (weighted mean of Kα1 and Kα2)), based on a structure optimized by DFT (PBE).

The 6 most intense peaks (2θ from 10° to 90°), sorted by position:
2θ/deg  Rel. int.
31.46  100.0
36.19  17.2
36.63  33.3
52.44  24.0
62.15  14.4
62.68  14.1

Structural model:
Lattice parameters (Å, degrees): 4.902 4.912 4.964 90.00 90.00 90.00
Element x y z (fractional)
Tb1 0.000 0.000 0.000
Pm1 0.500 0.000 0.500
Sm1 0.000 0.500 0.500
Tl1 0.500 0.500 0.000



No. 6
Tb2PmSmTm5: computed X-ray diffraction stick pattern (Cu Kα (weighted mean of Kα1 and Kα2)), based on a structure optimized by DFT (PBE).

The 6 most intense peaks (2θ from 10° to 90°), sorted by position:
2θ/deg  Rel. int.
28.88  50.8
29.03  51.6
31.49  100.0
37.57  19.3
43.10  22.7
52.86  21.2

Structural model:
Lattice parameters (Å, degrees): 9.700 9.700 9.700 126.42 126.42 79.19
Element x y z (fractional)
Tb1 0.115 0.615 0.730
Tb2 0.385 0.115 0.500
Tb3 0.615 0.885 0.500
Tb4 0.885 0.385 0.270
Pm1 0.250 0.250 0.000
Pm2 0.750 0.750 0.000
Sm1 0.250 0.750 0.500
Sm2 0.750 0.250 0.500
Tm1 0.000 0.000 0.000
Tm2 0.072 0.160 0.500
Tm3 0.160 0.660 0.088
Tm4 0.340 0.428 0.500
Tm5 0.428 0.928 0.088
Tm6 0.500 0.500 0.000
Tm7 0.572 0.072 0.912
Tm8 0.660 0.572 0.500
Tm9 0.840 0.340 0.912
Tm10 0.928 0.840 0.500



No. 7
TbPm2Sm6Tm: computed X-ray diffraction stick pattern (Cu Kα (weighted mean of Kα1 and Kα2)), based on a structure optimized by DFT (PBE).

The 6 most intense peaks (2θ from 10° to 90°), sorted by position:
2θ/deg  Rel. int.
28.27  37.7
30.19  44.9
30.28  56.2
30.89  47.7
31.21  100.0
33.27  53.2

Structural model:
Lattice parameters (Å, degrees): 8.905 8.905 9.730 94.19 94.19 118.11
Element x y z (fractional)
Tb1 0.021 0.979 0.750
Tb2 0.979 0.021 0.250
Pm1 0.197 0.300 0.543
Pm2 0.300 0.197 0.043
Pm3 0.700 0.803 0.957
Pm4 0.803 0.700 0.457
Sm1 0.016 0.572 0.689
Sm2 0.124 0.753 0.055
Sm3 0.247 0.876 0.445
Sm4 0.291 0.503 0.881
Sm5 0.428 0.984 0.811
Sm6 0.497 0.709 0.619
Sm7 0.503 0.291 0.381
Sm8 0.572 0.016 0.189
Sm9 0.709 0.497 0.119
Sm10 0.753 0.124 0.555
Sm11 0.876 0.247 0.945
Sm12 0.984 0.428 0.311
Tm1 0.409 0.591 0.250
Tm2 0.591 0.409 0.750



No. 8
Tb5Pm2SmTm: computed X-ray diffraction stick pattern (Cu Kα (weighted mean of Kα1 and Kα2)), based on a structure optimized by DFT (PBE).

The 6 most intense peaks (2θ from 10° to 90°), sorted by position:
2θ/deg  Rel. int.
28.65  45.6
29.04  51.6
30.77  100.0
43.24  19.8
46.48  21.9
52.57  23.1

Structural model:
Lattice parameters (Å, degrees): 9.941 9.941 9.941 128.12 128.12 76.43
Element x y z (fractional)
Tb1 0.000 0.000 0.000
Tb2 0.072 0.572 0.922
Tb3 0.150 0.072 0.500
Tb4 0.350 0.850 0.922
Tb5 0.428 0.350 0.500
Tb6 0.500 0.500 0.000
Tb7 0.572 0.650 0.500
Tb8 0.650 0.150 0.078
Tb9 0.850 0.928 0.500
Tb10 0.928 0.428 0.078
Pm1 0.117 0.383 0.500
Pm2 0.383 0.883 0.266
Pm3 0.617 0.117 0.734
Pm4 0.883 0.617 0.500
Sm1 0.250 0.250 0.000
Sm2 0.750 0.750 0.000
Tm1 0.250 0.750 0.500
Tm2 0.750 0.250 0.500



No. 9
Tb2PmSm5Y: computed X-ray diffraction stick pattern (Cu Kα (weighted mean of Kα1 and Kα2)), based on a structure optimized by DFT (PBE).

The 6 most intense peaks (2θ from 10° to 90°), sorted by position:
2θ/deg  Rel. int.
27.59  17.5
29.99  39.4
31.57  38.5
31.84  100.0
56.39  19.7
58.54  13.0

Structural model:
Lattice parameters (Å, degrees): 10.566 10.566 10.669 90.00 90.00 148.88
Element x y z (fractional)
Tb1 0.111 0.889 0.500
Tb2 0.115 0.885 0.083
Tb3 0.885 0.115 0.583
Tb4 0.889 0.111 0.000
Pm1 0.201 0.799 0.775
Pm2 0.799 0.201 0.275
Sm1 0.016 0.984 0.787
Sm2 0.280 0.720 0.074
Sm3 0.299 0.701 0.471
Sm4 0.391 0.609 0.790
Sm5 0.479 0.521 0.506
Sm6 0.521 0.479 0.006
Sm7 0.609 0.391 0.290
Sm8 0.701 0.299 0.971
Sm9 0.720 0.280 0.574
Sm10 0.984 0.016 0.287
Y1 0.411 0.589 0.221
Y2 0.589 0.411 0.721



No. 10
TbPm3SmY: computed X-ray diffraction stick pattern (Cu Kα (weighted mean of Kα1 and Kα2)), based on a structure optimized by DFT (PBE).

The 6 most intense peaks (2θ from 10° to 90°), sorted by position:
2θ/deg  Rel. int.
30.25  100.0
35.04  33.8
35.11  16.8
50.43  36.0
59.90  21.4
59.99  21.3

Structural model:
Lattice parameters (Å, degrees): 8.090 5.126 10.224 90.00 108.45 90.00
Element x y z (fractional)
Tb1 0.000 0.250 0.123
Tb2 0.000 0.750 0.877
Pm1 0.332 0.250 0.959
Pm2 0.332 0.750 0.709
Pm3 0.334 0.250 0.458
Pm4 0.666 0.750 0.542
Pm5 0.668 0.250 0.291
Pm6 0.668 0.750 0.041
Sm1 0.001 0.750 0.374
Sm2 0.999 0.250 0.626
Y1 0.331 0.750 0.207
Y2 0.669 0.250 0.793



No. 11
Tb2Pm4SmY2: computed X-ray diffraction stick pattern (Cu Kα (weighted mean of Kα1 and Kα2)), based on a structure optimized by DFT (PBE).

The 6 most intense peaks (2θ from 10° to 90°), sorted by position:
2θ/deg  Rel. int.
30.32  100.0
35.15  50.5
50.56  35.9
60.07  28.4
60.14  14.2
82.29  14.5

Structural model:
Lattice parameters (Å, degrees): 8.082 8.082 8.071 107.47 107.47 36.80
Element x y z (fractional)
Tb1 0.111 0.111 0.167
Tb2 0.889 0.889 0.833
Pm1 0.223 0.223 0.834
Pm2 0.445 0.445 0.167
Pm3 0.555 0.555 0.833
Pm4 0.777 0.777 0.166
Sm1 0.000 0.000 0.500
Y1 0.333 0.333 0.500
Y2 0.667 0.667 0.500



No. 12
TbPm2Sm2Y6: computed X-ray diffraction stick pattern (Cu Kα (weighted mean of Kα1 and Kα2)), based on a structure optimized by DFT (PBE).

The 6 most intense peaks (2θ from 10° to 90°), sorted by position:
2θ/deg  Rel. int.
30.69  65.5
31.24  41.8
31.96  100.0
44.36  20.9
56.08  25.7
61.85  23.0

Structural model:
Lattice parameters (Å, degrees): 6.705 6.705 10.566 90.00 90.00 129.45
Element x y z (fractional)
Tb1 0.000 0.000 0.000
Pm1 0.291 0.709 0.000
Pm2 0.709 0.291 0.000
Sm1 0.369 0.631 0.500
Sm2 0.631 0.369 0.500
Y1 0.151 0.849 0.299
Y2 0.151 0.849 0.701
Y3 0.500 0.500 0.204
Y4 0.500 0.500 0.796
Y5 0.849 0.151 0.299
Y6 0.849 0.151 0.701



No. 13
Tb4Pm2SmY2: computed X-ray diffraction stick pattern (Cu Kα (weighted mean of Kα1 and Kα2)), based on a structure optimized by DFT (PBE).

The 6 most intense peaks (2θ from 10° to 90°), sorted by position:
2θ/deg  Rel. int.
28.67  40.1
30.94  50.0
31.67  100.0
33.36  90.4
50.40  38.3
60.32  44.6

Structural model:
Lattice parameters (Å, degrees): 9.576 9.576 9.626 115.23 115.23 21.81
Element x y z (fractional)
Tb1 0.019 0.019 0.335
Tb2 0.314 0.314 0.664
Tb3 0.686 0.686 0.336
Tb4 0.981 0.981 0.665
Pm1 0.167 0.167 0.001
Pm2 0.833 0.833 0.999
Sm1 0.500 0.500 0.000
Y1 0.353 0.353 0.336
Y2 0.647 0.647 0.664